No. 1
For GaSeBr2, the GGA-PBE geometry in Alexandria gives the calculated powder diffractogram in this record (Cu Ka).

Principal peaks in the range 5° ≤ 2θ ≤ 70°, by angle:
| 2θ/deg | intensity |
| --- | --- |
| 16.44 | 34 |
| 26.72 | 100 |
| 27.40 | 21 |
| 31.09 | 67 |
| 46.02 | 33 |
| 46.16 | 33 |
| 46.75 | 17 |
| 48.02 | 21 |

Atomic structure:
```
GaSeBr2
1.0
5.179 -3.255 0.000
5.179 3.255 0.000
-1.441 0.000 3.609
Ga Se Br
1 1 2
direct
0.000 0.000 0.000 Ga
0.232 0.768 0.500 Se
0.567 0.069 0.819 Br
0.931 0.433 0.181 Br
```

---

No. 2
For SmGa2Br5, the GGA-PBE geometry in Alexandria gives the calculated powder diffractogram in this record (Cu Ka).

Principal peaks in the range 5° ≤ 2θ ≤ 70°, by angle:
| 2θ/deg | intensity |
| --- | --- |
| 12.31 | 100 |
| 16.98 | 75 |
| 25.74 | 79 |
| 26.57 | 76 |
| 33.04 | 68 |
| 33.20 | 70 |
| 35.21 | 69 |
| 41.11 | 96 |

Atomic structure:
```
SmGa2Br5
1.0
7.972 -3.895 0.000
7.972 3.895 0.000
-4.673 0.000 9.770
Sm Ga Br
2 4 10
direct
0.000 0.000 0.000 Sm
0.000 0.000 0.500 Sm
0.352 0.407 0.777 Ga
0.407 0.352 0.277 Ga
0.593 0.647 0.722 Ga
0.647 0.593 0.222 Ga
0.029 0.329 0.152 Br
0.147 0.853 0.250 Br
0.237 0.607 0.537 Br
0.329 0.029 0.652 Br
0.393 0.763 0.962 Br
0.607 0.237 0.037 Br
0.671 0.972 0.348 Br
0.763 0.393 0.462 Br
0.853 0.147 0.750 Br
0.972 0.671 0.848 Br
```

---

No. 3
For Sm2GaBr2, the GGA-PBE geometry in Alexandria gives the calculated powder diffractogram in this record (Cu Ka).

Principal peaks in the range 5° ≤ 2θ ≤ 70°, by angle:
| 2θ/deg | intensity |
| --- | --- |
| 7.80 | 73 |
| 15.65 | 22 |
| 25.37 | 19 |
| 29.83 | 56 |
| 30.02 | 100 |
| 40.84 | 43 |
| 41.15 | 20 |
| 44.72 | 48 |

Atomic structure:
```
Sm2GaBr2
1.0
3.510 -2.027 0.000
3.510 2.027 0.000
-0.110 0.000 11.328
Sm Ga Br
2 1 2
direct
0.169 0.169 0.167 Sm
0.831 0.831 0.833 Sm
0.500 0.500 0.000 Ga
0.162 0.162 0.671 Br
0.838 0.838 0.329 Br
```

---

No. 4
For SmGaSn2Br8, the GGA-PBE geometry in Alexandria gives the calculated powder diffractogram in this record (Cu Ka).

Principal peaks in the range 5° ≤ 2θ ≤ 70°, by angle:
| 2θ/deg | intensity |
| --- | --- |
| 17.71 | 93 |
| 18.02 | 93 |
| 23.77 | 68 |
| 26.74 | 97 |
| 26.95 | 82 |
| 35.12 | 88 |
| 35.45 | 92 |
| 42.75 | 100 |

Atomic structure:
```
SmGaSn2Br8
1.0
6.853 0.000 0.000
0.000 8.936 0.000
-0.124 0.000 7.203
Sm Ga Sn Br
1 1 2 8
direct
0.000 0.000 0.000 Sm
0.000 0.500 0.000 Ga
0.500 0.256 0.500 Sn
0.500 0.744 0.500 Sn
0.237 0.235 0.159 Br
0.237 0.765 0.159 Br
0.244 0.000 0.677 Br
0.275 0.500 0.653 Br
0.725 0.500 0.347 Br
0.756 0.000 0.323 Br
0.763 0.235 0.841 Br
0.763 0.765 0.841 Br
```

---

No. 5
For SmTlGa2Br6, the GGA-PBE geometry in Alexandria gives the calculated powder diffractogram in this record (Cu Ka).

Principal peaks in the range 5° ≤ 2θ ≤ 70°, by angle:
| 2θ/deg | intensity |
| --- | --- |
| 15.47 | 72 |
| 21.27 | 47 |
| 25.93 | 78 |
| 31.23 | 33 |
| 34.15 | 100 |
| 38.89 | 35 |
| 39.67 | 60 |
| 44.91 | 32 |

Atomic structure:
```
SmTlGa2Br6
1.0
3.935 2.272 7.049
-3.935 2.272 7.049
0.000 -4.544 7.049
Sm Tl Ga Br
1 1 2 6
direct
0.000 0.000 0.000 Sm
0.511 0.511 0.511 Tl
0.315 0.315 0.315 Ga
0.808 0.808 0.808 Ga
0.092 0.368 0.748 Br
0.182 0.935 0.617 Br
0.368 0.748 0.092 Br
0.617 0.182 0.935 Br
0.748 0.092 0.368 Br
0.935 0.617 0.182 Br
```